Ac3O: calculated X-ray powder pattern (CuKα), based on a crystal structure in Alexandria, relaxed with PBE.
Peak positions follow from Bragg's law for the DFT cell and can differ from measured ones.

Largest 10 diffraction maxima, by angle, 15° ≤ 2θ ≤ 90°:
2θ 23.78, rel. 100.0, (1 0 1); 2θ 27.73, rel. 35.3, (0 0 3); 2θ 28.74, rel. 79.8, (1 0 2); 2θ 32.54, rel. 58.6, (1 1 1); 2θ 36.42, rel. 22.2, (1 1 2); 2θ 44.64, rel. 25.2, (2 0 0); 2θ 49.34, rel. 32.7, (1 1 4); 2θ 51.20, rel. 26.1, (2 1 1); 2θ 53.37, rel. 24.3, (2 0 3); 2θ 53.96, rel. 29.0, (2 1 2)

Crystal structure
```
Ac3O
1.0
4.059 0.000 0.000
0.000 4.059 0.000
0.000 0.000 9.653
Ac O
3 1
Direct
0.000 0.000 0.000 Ac
0.000 0.500 0.644 Ac
0.500 0.000 0.356 Ac
0.500 0.500 0.500 O
```